For K2PrClO2, a structure optimized by DFT (GGA-PBE) gives the calculated X-ray powder pattern in this record (Cu Kα X-rays).

Structure:
a b c (Å): 4.6848 4.6848 6.4130
angles (deg): 90.00 90.00 90.00
Positions (direct):
K 0.0000 0.0000 0.2442
K 0.0000 0.0000 0.7558
Pr 0.5000 0.5000 0.0000
Cl 0.5000 0.5000 0.5000
O 0.0000 0.5000 0.0000
O 0.5000 0.0000 0.0000

The 8 most intense peaks (15 to 90 degrees two-theta), in order of rising 2θ:
two_theta, I_rel, hkl
18.94, 287, 1 0 0
23.52, 385, 1 0 1
26.91, 704, 1 1 0
33.88, 1000, 1 0 2
38.43, 441, 2 0 0
41.02, 178, 2 0 1
52.15, 545, 2 1 2
79.61, 150, 3 2 2



For AsPd6, a structure optimized by DFT (GGA-PBE) gives the calculated X-ray powder pattern in this record (Cu Kα X-rays).

Structure:
a b c (Å): 9.8967 8.8298 5.2020
angles (deg): 90.00 90.00 90.00
Positions (direct):
As 0.1385 0.2500 0.0775
As 0.3615 0.7500 0.5775
As 0.6385 0.2500 0.4225
As 0.8615 0.7500 0.9225
Pd 0.9997 0.2500 0.6999
Pd 0.0003 0.7500 0.3001
Pd 0.0215 0.5737 0.7512
Pd 0.0215 0.9263 0.7512
Pd 0.2274 0.5589 0.3787
Pd 0.2274 0.9411 0.3787
Pd 0.2335 0.7500 0.9616
Pd 0.2665 0.2500 0.4616
Pd 0.2726 0.0589 0.8787
Pd 0.2726 0.4411 0.8787
Pd 0.4785 0.0737 0.2512
Pd 0.4785 0.4263 0.2512
Pd 0.4997 0.2500 0.8001
Pd 0.5003 0.7500 0.1999
Pd 0.5215 0.5737 0.7488
Pd 0.5215 0.9263 0.7488
Pd 0.7274 0.5589 0.1213
Pd 0.7274 0.9411 0.1213
Pd 0.7335 0.7500 0.5384
Pd 0.7665 0.2500 0.0384
Pd 0.7726 0.0589 0.6213
Pd 0.7726 0.4411 0.6213
Pd 0.9785 0.0737 0.2488
Pd 0.9785 0.4263 0.2488

The 8 most intense peaks (15 to 90 degrees two-theta), in order of rising 2θ:
two_theta, I_rel, hkl
35.69, 142, 1 0 2
36.28, 582, 4 0 0
38.20, 152, 3 2 1
39.13, 391, 2 0 2
39.62, 1000, 2 3 1
44.35, 135, 3 0 2
44.79, 222, 3 3 1
62.13, 193, 0 3 3



For Tb2Pm2SmHo2, a structure optimized by DFT (GGA-PBE) gives the calculated X-ray powder pattern in this record (Cu Kα X-rays).

Structure:
a b c (Å): 11.3201 5.0681 8.0277
angles (deg): 90.00 98.16 90.00
Positions (direct):
Tb 0.2147 0.0000 0.1414
Tb 0.2853 0.5000 0.8586
Tb 0.7147 0.5000 0.1414
Tb 0.7853 0.0000 0.8586
Pm 0.1425 0.5000 0.4282
Pm 0.3575 0.0000 0.5718
Pm 0.6425 0.0000 0.4282
Pm 0.8575 0.5000 0.5718
Sm 0.0000 0.5000 0.0000
Sm 0.5000 0.0000 0.0000
Ho 0.0715 0.0000 0.7152
Ho 0.4285 0.5000 0.2848
Ho 0.5715 0.5000 0.7152
Ho 0.9285 0.0000 0.2848

The 8 most intense peaks (15 to 90 degrees two-theta), in order of rising 2θ:
two_theta, I_rel, hkl
30.55, 1000, 1 1 2
35.37, 169, 2 0 -3
35.44, 337, 4 0 1
50.95, 361, 4 2 1
60.54, 215, 1 3 2
60.63, 214, 7 1 0
63.58, 124, 2 2 4
82.98, 89, 3 1 6



For TiPd2Cl, a structure optimized by DFT (GGA-PBE) gives the calculated X-ray powder pattern in this record (Cu Kα X-rays).

Structure:
a b c (Å): 7.2887 7.2887 5.2773
angles (deg): 90.00 90.00 90.00
Positions (direct):
Ti 0.0000 0.0000 0.0000
Ti 0.0000 0.5000 0.2500
Ti 0.5000 0.0000 0.7500
Ti 0.5000 0.5000 0.5000
Pd 0.2338 0.7500 0.1250
Pd 0.2500 0.2338 0.8750
Pd 0.2500 0.2662 0.3750
Pd 0.2662 0.7500 0.6250
Pd 0.7338 0.2500 0.6250
Pd 0.7500 0.7338 0.3750
Pd 0.7500 0.7662 0.8750
Pd 0.7662 0.2500 0.1250
Cl 0.0000 0.0000 0.5000
Cl 0.0000 0.5000 0.7500
Cl 0.5000 0.0000 0.2500
Cl 0.5000 0.5000 0.0000

The 8 most intense peaks (15 to 90 degrees two-theta), in order of rising 2θ:
two_theta, I_rel, hkl
24.42, 481, 2 0 0
34.81, 1000, 2 2 0
38.32, 933, 1 1 2
50.06, 330, 4 0 0
52.73, 696, 3 1 2
64.75, 177, 3 3 2
75.67, 214, 5 1 2
76.84, 185, 2 0 4



Q: Which formula does entry 1 have?
A: K2PrClO2



Q: Number 2 is which compound?
A: AsPd6